No. 1
The following is a calculated powder diffractogram of Tl2AgIrO6. It was derived from a GGA-PBE-relaxed structure, using a wavelength of 1.5418 Å.

Largest 10 diffraction maxima, low angle first, 2θ = 5–70°:
d = 4.123 Å, I 12, (0 1 2)
d = 2.930 Å, I 89, (1 0 4)
d = 2.901 Å, I 100, (1 1 0)
d = 2.484 Å, I 10, (1 1 3)
d = 2.062 Å, I 37, (0 2 4)
d = 1.851 Å, I 14, (1 1 6)
d = 1.680 Å, I 37, (2 1 4)
d = 1.675 Å, I 26, (3 0 0)
d = 1.450 Å, I 13, (2 2 0)
d = 1.403 Å, I 12, (2 -1 9)

Cell and atoms:
```
data_Tl2AgIrO6
_chemical_formula_sum 'Tl6 Ag3 Ir3 O18'
_cell_length_a 5.8020
_cell_length_b 5.8020
_cell_length_c 14.4287
_cell_angle_alpha 90.00
_cell_angle_beta 90.00
_cell_angle_gamma 120.00
_space_group_name_H-M_alt 'R 3'
_space_group_IT_number 146
_space_group_name_Hall 'R 3'
loop_
_atom_site_label
_atom_site_fract_x
_atom_site_fract_y
_atom_site_fract_z
Tl1 0.0000 0.0000 0.0000
Tl2 0.0000 0.0000 0.4756
Ag1 0.0000 0.0000 0.2420
Ir1 0.0000 0.0000 0.7749
O1 0.0668 0.3611 0.3708
O2 0.0674 0.6672 0.5270
```

No. 2
The following is a calculated powder diffractogram of AgP2Ir2. It was derived from a GGA-PBE-relaxed structure, using a wavelength of 1.5418 Å.

Largest 10 diffraction maxima, low angle first, 2θ = 5–70°:
d = 3.624 Å, I 28, (1 0 1)
d = 2.715 Å, I 60, (1 1 0)
d = 2.645 Å, I 100, (1 0 3)
d = 2.433 Å, I 11, (1 1 2)
d = 1.928 Å, I 25, (1 1 4)
d = 1.920 Å, I 36, (2 0 0)
d = 1.902 Å, I 25, (1 0 5)
d = 1.554 Å, I 39, (2 1 3)
d = 1.358 Å, I 12, (2 2 0)
d = 1.351 Å, I 16, (2 1 5)

Cell and atoms:
```
data_AgP2Ir2
_chemical_formula_sum 'Ag2 P4 Ir4'
_cell_length_a 3.840
_cell_length_b 3.840
_cell_length_c 10.949
_cell_angle_alpha 90.00
_cell_angle_beta 90.00
_cell_angle_gamma 90.00
_space_group_name_H-M_alt 'I 4/m m m'
_space_group_IT_number 139
_space_group_name_Hall '-I 4 2'
loop_
_atom_site_label
_atom_site_fract_x
_atom_site_fract_y
_atom_site_fract_z
Ag1 0.000 0.000 0.000
P1 0.000 0.500 0.250
Ir1 0.000 0.000 0.370
```

Repeat the second record exactly.
The following is a calculated powder diffractogram of AgP2Ir2. It was derived from a GGA-PBE-relaxed structure, using a wavelength of 1.5418 Å.

Largest 10 diffraction maxima, low angle first, 2θ = 5–70°:
d = 3.624 Å, I 28, (1 0 1)
d = 2.715 Å, I 60, (1 1 0)
d = 2.645 Å, I 100, (1 0 3)
d = 2.433 Å, I 11, (1 1 2)
d = 1.928 Å, I 25, (1 1 4)
d = 1.920 Å, I 36, (2 0 0)
d = 1.902 Å, I 25, (1 0 5)
d = 1.554 Å, I 39, (2 1 3)
d = 1.358 Å, I 12, (2 2 0)
d = 1.351 Å, I 16, (2 1 5)

Cell and atoms:
```
data_AgP2Ir2
_chemical_formula_sum 'Ag2 P4 Ir4'
_cell_length_a 3.840
_cell_length_b 3.840
_cell_length_c 10.949
_cell_angle_alpha 90.00
_cell_angle_beta 90.00
_cell_angle_gamma 90.00
_space_group_name_H-M_alt 'I 4/m m m'
_space_group_IT_number 139
_space_group_name_Hall '-I 4 2'
loop_
_atom_site_label
_atom_site_fract_x
_atom_site_fract_y
_atom_site_fract_z
Ag1 0.000 0.000 0.000
P1 0.000 0.500 0.250
Ir1 0.000 0.000 0.370
```